1.
Starting from a structure optimized by DFT (GGA-PBE), the powder diffractogram of CsNa3Tl3 was computed for CuKα.

Structure:
```
CsNa3Tl3
1.0
8.683 0.000 0.000
0.000 8.683 0.000
0.000 0.000 8.683
Cs Na Tl
2 6 6
Direct
0.000 0.000 0.000 Cs
0.500 0.500 0.500 Cs
0.000 0.250 0.500 Na
0.000 0.750 0.500 Na
0.250 0.500 0.000 Na
0.500 0.000 0.250 Na
0.500 0.000 0.750 Na
0.750 0.500 0.000 Na
0.000 0.500 0.250 Tl
0.000 0.500 0.750 Tl
0.250 0.000 0.500 Tl
0.500 0.250 0.000 Tl
0.500 0.750 0.000 Tl
0.750 0.000 0.500 Tl
```

Principal peaks in the range 2θ = 5–70°, sorted by position:
| 2θ (°) | d (Å) | I_rel |
| --- | --- | --- |
| 20.46 | 4.341 | 34.3 |
| 22.90 | 3.883 | 100.0 |
| 25.12 | 3.545 | 83.5 |
| 35.83 | 2.506 | 26.1 |
| 37.34 | 2.408 | 29.1 |
| 38.81 | 2.321 | 53.3 |
| 41.61 | 2.171 | 28.2 |
| 48.02 | 1.895 | 29.2 |
| 57.13 | 1.612 | 26.5 |
| 58.20 | 1.585 | 16.4 |
| 60.30 | 1.535 | 19.0 |
| 66.37 | 1.409 | 16.5 |

---

2.
Starting from a structure optimized by DFT (GGA-PBE), the powder diffractogram of Li6Cd10Rh was computed for CuKα.

Structure:
```
Li6Cd10Rh
1.0
8.066 0.000 0.000
-4.033 6.985 0.000
0.000 0.000 5.717
Li Cd Rh
6 10 1
Direct
0.000 0.360 0.314 Li
0.000 0.640 0.686 Li
0.360 0.000 0.314 Li
0.360 0.360 0.686 Li
0.640 0.000 0.686 Li
0.640 0.640 0.314 Li
0.000 0.271 0.806 Cd
0.000 0.729 0.194 Cd
0.271 0.000 0.806 Cd
0.271 0.271 0.194 Cd
0.333 0.667 0.000 Cd
0.333 0.667 0.500 Cd
0.667 0.333 0.000 Cd
0.667 0.333 0.500 Cd
0.729 0.000 0.194 Cd
0.729 0.729 0.806 Cd
0.000 0.000 0.500 Rh
```

Principal peaks in the range 2θ = 5–70°, sorted by position:
| 2θ (°) | d (Å) | I_rel |
| --- | --- | --- |
| 22.04 | 4.033 | 12.5 |
| 25.50 | 3.493 | 13.3 |
| 27.06 | 3.295 | 52.2 |
| 33.92 | 2.642 | 16.8 |
| 37.52 | 2.397 | 27.6 |
| 38.63 | 2.331 | 100.0 |
| 55.79 | 1.648 | 16.0 |
| 57.48 | 1.603 | 8.4 |
| 59.94 | 1.543 | 11.1 |
| 60.76 | 1.524 | 6.8 |
| 69.82 | 1.347 | 7.3 |
| 69.95 | 1.345 | 10.7 |

---

3.
Starting from a structure optimized by DFT (GGA-PBE), the powder diffractogram of SrAcNbO5 was computed for CuKα.

Structure:
```
SrAcNbO5
1.0
3.754 -5.174 0.000
3.754 5.174 0.000
-2.682 0.000 7.931
Sr Ac Nb O
2 2 2 10
Direct
0.167 0.833 0.750 Sr
0.833 0.167 0.250 Sr
0.500 0.500 0.000 Ac
0.500 0.500 0.500 Ac
0.179 0.821 0.250 Nb
0.821 0.179 0.750 Nb
0.082 0.216 0.916 O
0.151 0.570 0.343 O
0.216 0.082 0.416 O
0.392 0.608 0.750 O
0.430 0.849 0.157 O
0.570 0.151 0.843 O
0.608 0.392 0.250 O
0.784 0.918 0.584 O
0.849 0.430 0.657 O
0.918 0.784 0.084 O
```

Principal peaks in the range 2θ = 5–70°, sorted by position:
| 2θ (°) | d (Å) | I_rel |
| --- | --- | --- |
| 15.12 | 5.861 | 49.5 |
| 23.54 | 3.780 | 100.0 |
| 25.04 | 3.556 | 74.0 |
| 28.36 | 3.147 | 78.0 |
| 28.77 | 3.103 | 88.2 |
| 30.37 | 2.943 | 35.2 |
| 32.86 | 2.726 | 32.7 |
| 38.48 | 2.339 | 30.5 |
| 41.69 | 2.167 | 20.3 |
| 42.95 | 2.106 | 27.7 |
| 46.48 | 1.954 | 30.6 |
| 51.08 | 1.788 | 23.7 |